# Co3O2F4
Theoretical powder diffractogram, Cu Kα, 1.54184 Å. Input: a DFT-relaxed cell (PBE+U, the Materials Project).
Peak positions follow from Bragg's law for the DFT cell and can differ from measured ones.

Structure:
a b c (Å): 9.381 4.618 4.534
angles (deg): 90.00 90.00 90.00
Fractional coordinates of all 18 atoms:
Co  0.000  0.245  0.000
Co  0.173  0.784  0.467
Co  0.327  0.216  0.967
Co  0.500  0.755  0.500
Co  0.673  0.216  0.967
Co  0.827  0.784  0.467
O  0.169  0.057  0.168
O  0.331  0.943  0.668
O  0.669  0.943  0.668
O  0.831  0.057  0.168
F  0.000  0.584  0.280
F  0.000  0.971  0.668
F  0.162  0.467  0.765
F  0.338  0.533  0.265
F  0.500  0.029  0.168
F  0.500  0.416  0.780
F  0.662  0.533  0.265
F  0.838  0.467  0.765

Main lines, sorted by position (10° ≤ 2θ ≤ 90°):
two_theta	I/Imax	hkl
27.6	100	0 1 1
34.6	32	3 1 0
34.9	32	3 0 1
40.1	20	3 1 1
53.3	30	3 2 1
53.7	31	3 1 2
56.9	17	0 2 2
66.4	13	6 1 1